1.
Diffraction record for SrNdAgTe2Se. The X-ray powder pattern is computed, not measured: it uses a DFT-relaxed cell (PBE, OQMD) and CuKα.
Kinematic intensities with the Lorentz-polarization factor, no thermal factor.

Atomic structure:
```
data_SrNdAgTe2Se
_chemical_formula_sum 'Sr4 Nd4 Ag4 Te8 Se4'
_cell_length_a 4.432
_cell_length_b 14.693
_cell_length_c 11.097
_cell_angle_alpha 90.00
_cell_angle_beta 90.00
_cell_angle_gamma 90.00
_space_group_name_H-M_alt 'C m c m'
_space_group_IT_number 63
_space_group_name_Hall '-C 2c 2'
loop_
_atom_site_label
_atom_site_fract_x
_atom_site_fract_y
_atom_site_fract_z
Sr1 0.000 0.237 0.250
Nd1 0.000 0.500 0.000
Ag1 0.000 0.025 0.750
Te1 0.000 0.150 0.559
Se1 0.000 0.417 0.750
```

Peak list (6 most intense, 15° ≤ 2θ ≤ 90°, by intensity)
| d/Å | two_theta | I (rel.) |
| --- | --- | --- |
| 2.827 | 31.65 | 100 |
| 2.240 | 40.25 | 60 |
| 3.151 | 28.33 | 52 |
| 2.215 | 40.73 | 48 |
| 3.286 | 27.14 | 44 |
| 3.304 | 26.99 | 33 |

=====

2.
Diffraction record for NdTlAg3Se4. The X-ray powder pattern is computed, not measured: it uses a DFT-relaxed cell (PBE, OQMD) and CuKα.
Kinematic intensities with the Lorentz-polarization factor, no thermal factor.

Atomic structure:
```
data_NdTlAg3Se4
_chemical_formula_sum 'Nd1 Tl1 Ag3 Se4'
_cell_length_a 6.498
_cell_length_b 6.498
_cell_length_c 6.498
_cell_angle_alpha 90.00
_cell_angle_beta 90.00
_cell_angle_gamma 90.00
_space_group_name_H-M_alt 'P -4 3 m'
_space_group_IT_number 215
_space_group_name_Hall 'P -4 2 3'
loop_
_atom_site_label
_atom_site_fract_x
_atom_site_fract_y
_atom_site_fract_z
Nd1 0.000 0.000 0.000
Tl1 0.500 0.500 0.500
Ag1 0.000 0.000 0.500
Se1 0.246 0.246 0.754
```

Peak list (6 most intense, 15° ≤ 2θ ≤ 90°, by intensity)
| d/Å | two_theta | I (rel.) |
| --- | --- | --- |
| 2.297 | 39.22 | 100 |
| 3.751 | 23.72 | 64 |
| 1.326 | 71.08 | 34 |
| 4.594 | 19.32 | 32 |
| 1.959 | 46.35 | 31 |
| 3.249 | 27.45 | 17 |

=====

3.
Diffraction record for NdSmAg2Sn2. The X-ray powder pattern is computed, not measured: it uses a DFT-relaxed cell (PBE, OQMD) and CuKα.
Kinematic intensities with the Lorentz-polarization factor, no thermal factor.

Atomic structure:
```
data_NdSmAg2Sn2
_chemical_formula_sum 'Nd1 Sm1 Ag2 Sn2'
_cell_length_a 4.7900
_cell_length_b 4.7900
_cell_length_c 7.5312
_cell_angle_alpha 90.00
_cell_angle_beta 90.00
_cell_angle_gamma 120.00
_space_group_name_H-M_alt 'P 3 m 1'
_space_group_IT_number 156
loop_
_space_group_symop_operation_xyz
'x,y,z'
'-y,x-y,z'
'-x+y,-x,z'
'-y,-x,z'
'-x+y,y,z'
'x,x-y,z'
loop_
_atom_site_label
_atom_site_fract_x
_atom_site_fract_y
_atom_site_fract_z
Nd1 0.0000 0.0000 0.0000
Sm1 0.0000 0.0000 0.5005
Ag1 0.3333 0.6667 0.2000
Ag2 0.6667 0.3333 0.6938
Sn1 0.3333 0.6667 0.7768
Sn2 0.6667 0.3333 0.2813
```

Peak list (6 most intense, 15° ≤ 2θ ≤ 90°, by intensity)
| d/Å | two_theta | I (rel.) |
| --- | --- | --- |
| 2.788 | 32.10 | 100 |
| 2.395 | 37.55 | 77 |
| 1.817 | 50.22 | 28 |
| 1.447 | 64.36 | 27 |
| 1.480 | 62.78 | 17 |
| 2.148 | 42.07 | 16 |

=====

4.
Diffraction record for Tb2NdAg4Sn4. The X-ray powder pattern is computed, not measured: it uses a DFT-relaxed cell (PBE, OQMD) and CuKα.
Kinematic intensities with the Lorentz-polarization factor, no thermal factor.

Atomic structure:
```
data_Tb2NdAg4Sn4
_chemical_formula_sum 'Tb4 Nd2 Ag8 Sn8'
_cell_length_a 4.578
_cell_length_b 7.441
_cell_length_c 15.364
_cell_angle_alpha 90.00
_cell_angle_beta 90.00
_cell_angle_gamma 90.00
_space_group_name_H-M_alt 'I m m m'
_space_group_IT_number 71
_space_group_name_Hall '-I 2 2'
loop_
_atom_site_label
_atom_site_fract_x
_atom_site_fract_y
_atom_site_fract_z
Tb1 0.000 0.000 0.128
Nd1 0.000 0.500 0.000
Ag1 0.000 0.198 0.329
Sn1 0.000 0.308 0.500
Sn2 0.000 0.500 0.216
```

Peak list (6 most intense, 15° ≤ 2θ ≤ 90°, by intensity)
| d/Å | two_theta | I (rel.) |
| --- | --- | --- |
| 2.838 | 31.52 | 100 |
| 2.736 | 32.73 | 71 |
| 2.289 | 39.36 | 36 |
| 2.232 | 40.40 | 23 |
| 1.599 | 57.67 | 23 |
| 2.104 | 42.99 | 18 |

=====

Please write out number 4 again, unchanged.
Diffraction record for Tb2NdAg4Sn4. The X-ray powder pattern is computed, not measured: it uses a DFT-relaxed cell (PBE, OQMD) and CuKα.
Kinematic intensities with the Lorentz-polarization factor, no thermal factor.

Atomic structure:
```
data_Tb2NdAg4Sn4
_chemical_formula_sum 'Tb4 Nd2 Ag8 Sn8'
_cell_length_a 4.578
_cell_length_b 7.441
_cell_length_c 15.364
_cell_angle_alpha 90.00
_cell_angle_beta 90.00
_cell_angle_gamma 90.00
_space_group_name_H-M_alt 'I m m m'
_space_group_IT_number 71
_space_group_name_Hall '-I 2 2'
loop_
_atom_site_label
_atom_site_fract_x
_atom_site_fract_y
_atom_site_fract_z
Tb1 0.000 0.000 0.128
Nd1 0.000 0.500 0.000
Ag1 0.000 0.198 0.329
Sn1 0.000 0.308 0.500
Sn2 0.000 0.500 0.216
```

Peak list (6 most intense, 15° ≤ 2θ ≤ 90°, by intensity)
| d/Å | two_theta | I (rel.) |
| --- | --- | --- |
| 2.838 | 31.52 | 100 |
| 2.736 | 32.73 | 71 |
| 2.289 | 39.36 | 36 |
| 2.232 | 40.40 | 23 |
| 1.599 | 57.67 | 23 |
| 2.104 | 42.99 | 18 |